# Dy5Y7Er
Computed powder diffraction line list, copper Kα. Input: the PBE geometry in Alexandria.
Kinematic intensities with the Lorentz-polarization factor, no thermal factor.

Main lines, sorted by position (2θ = 5–70°):
two_theta  I (rel.)
15.32  38.7
30.94  100.0
31.26  72.1
31.59  64.2
32.09  27.2
34.98  89.5
35.74  31.9
44.55  30.3
57.65  35.1
65.99  24.0

Crystal structure
a = 6.6650 Å, b = 11.1566 Å, c = 11.5698 Å
α = 90.00°, β = 90.00°, γ = 90.00°
Space group Imm2 (No. 44)
Asymmetric unit:
Dy  0.0000  0.0000  0.0000 x2
Dy  0.2312  0.2728  0.0032 x8
Y  0.0000  0.0000  0.5042 x2
Y  0.0000  0.1688  0.2524 x4
Y  0.0000  0.1728  0.7526 x4
Y  0.0000  0.5000  0.1974 x2
Y  0.0000  0.5000  0.5087 x2
Er  0.0000  0.5000  0.8152 x2


# Dy4Y2Er5
Computed powder diffraction line list, copper Kα. Input: the PBE geometry in Alexandria.
Kinematic intensities with the Lorentz-polarization factor, no thermal factor.

Main lines, sorted by position (2θ = 5–70°):
two_theta  I (rel.)
30.37  51.6
30.83  33.8
31.42  71.4
31.73  33.1
32.17  22.7
32.52  48.8
33.24  100.0
35.12  23.8
36.32  22.0
55.71  19.9

Crystal structure
a = 16.4000 Å, b = 6.6006 Å, c = 6.6063 Å
α = 90.00°, β = 100.14°, γ = 90.00°
Space group C2/m (No. 12)
Asymmetric unit:
Dy  0.0881  0.0000  0.4028 x4
Dy  0.2450  0.5000  0.8144 x4
Y  0.2005  0.5000  0.3023 x4
Er  0.0000  0.5000  0.5000 x2
Er  0.0877  0.2390  0.9023 x8


# Dy2Y10Er
Computed powder diffraction line list, copper Kα. Input: the PBE geometry in Alexandria.
Kinematic intensities with the Lorentz-polarization factor, no thermal factor.

Main lines, sorted by position (2θ = 5–70°):
two_theta  I (rel.)
26.85  49.3
29.85  50.1
30.92  68.8
31.47  100.0
32.22  50.6
33.22  27.0
34.46  36.3
35.88  25.0
51.46  21.7
55.34  41.4

Crystal structure
a = 6.5291 Å, b = 15.5969 Å, c = 17.2456 Å
α = 90.00°, β = 90.00°, γ = 90.00°
Space group Fmmm (No. 69)
Asymmetric unit:
Dy  0.2500  0.2500  0.0000 x8
Y  0.0000  0.1031  0.1010 x16
Y  0.0000  0.1820  0.3301 x16
Y  0.2500  0.0000  0.2500 x8
Er  0.0000  0.0000  0.5000 x4


# Dy12Y5Er2
Computed powder diffraction line list, copper Kα. Input: the PBE geometry in Alexandria.
Kinematic intensities with the Lorentz-polarization factor, no thermal factor.

Main lines, sorted by position (2θ = 5–70°):
two_theta  I (rel.)
27.28  22.6
28.50  23.3
31.05  50.0
31.34  100.0
31.80  60.0
32.44  57.3
32.65  37.1
33.46  61.6
33.93  42.6
35.84  28.3

Crystal structure
a = 6.0121 Å, b = 9.7021 Å, c = 11.1903 Å
α = 70.11°, β = 82.93°, γ = 89.12°
Space group P-1 (No. 2)
Asymmetric unit:
Dy  0.0409  0.1870  0.1546 x2
Dy  0.0765  0.8150  0.5435 x2
Dy  0.1623  0.8190  0.2267 x2
Dy  0.3845  0.4035  0.2881 x2
Dy  0.4268  0.3184  0.6055 x2
Dy  0.4280  0.6807  0.9875 x2
Y  0.0000  0.5000  0.5000 x1
Y  0.1035  0.4622  0.8433 x2
Y  0.4983  0.9534  0.6690 x2
Er  0.2828  0.0671  0.9203 x2


# Dy15Y2Er2
Computed powder diffraction line list, copper Kα. Input: the PBE geometry in Alexandria.
Kinematic intensities with the Lorentz-polarization factor, no thermal factor.

Main lines, sorted by position (2θ = 5–70°):
two_theta  I (rel.)
15.95  24.3
27.47  34.2
27.81  27.7
30.47  28.1
31.49  69.1
31.79  100.0
32.22  60.1
34.57  32.4
35.76  97.4
57.46  28.2

Crystal structure
a = 11.1117 Å, b = 11.1117 Å, c = 17.6022 Å
α = 90.00°, β = 90.00°, γ = 120.00°
Space group R-3m (No. 166, hexagonal axes)
Asymmetric unit:
Dy  0.0000  0.2981  0.0000 x18
Dy  0.0000  0.5000  0.5000 x9
Dy  0.0136  0.5068  0.1353 x18
Y  0.0000  0.0000  0.3217 x6
Er  0.0000  0.0000  0.0954 x6


# Dy5YEr2
Computed powder diffraction line list, copper Kα. Input: the PBE geometry in Alexandria.
Kinematic intensities with the Lorentz-polarization factor, no thermal factor.

Main lines, sorted by position (2θ = 5–70°):
two_theta  I (rel.)
12.51  0.7
13.99  1.1
22.67  0.9
30.97  100.0
35.91  50.6
51.70  35.9
61.49  42.6
64.55  12.3

Crystal structure
a = 7.0757 Å, b = 14.1518 Å, c = 4.9968 Å
α = 90.00°, β = 90.00°, γ = 90.00°
Space group Pbam (No. 55)
Asymmetric unit:
Dy  0.0000  0.0000  0.0000 x2
Dy  0.9995  0.2494  0.0000 x4
Dy  0.2491  0.1253  0.5000 x4
Y  0.0000  0.5000  0.0000 x2
Er  0.2503  0.3747  0.5000 x4